Nd3Si4Pt2Au2: calculated PXRD pattern (a wavelength of 1.5418 Å), based on a GGA-PBE-relaxed structure.
Kinematic intensities with the Lorentz-polarization factor, no thermal factor.

Top 10 peaks for 2θ = 10–80°, sorted by position:
2theta, d_spacing, I_rel
27.71, 3.219, 16
28.75, 3.106, 12
32.95, 2.718, 18
33.14, 2.704, 100
38.85, 2.318, 13
42.36, 2.134, 19
42.79, 2.113, 19
61.79, 1.501, 13
67.96, 1.379, 13
71.63, 1.318, 11

Crystal structure
Unit cell a=12.7803 b=12.7803 c=12.7803 alpha=160.96 beta=160.78 gamma=27.18
Fractional positions:
Nd 0.0000 0.0000 0.0000
Nd 0.3513 0.8513 0.5000
Nd 0.6487 0.1487 0.5000
Si 0.1978 0.6978 0.5000
Si 0.4521 0.4521 0.0000
Si 0.5479 0.5479 0.0000
Si 0.8022 0.3022 0.5000
Pt 0.2487 0.2487 0.0000
Pt 0.7513 0.7513 0.0000
Au 0.0977 0.5977 0.5000
Au 0.9023 0.4023 0.5000